Record 1
Diffraction record for ZnInHg3. The PXRD pattern is calculated, not measured: it uses a structure optimized by DFT (GGA-PBE) and Cu Kα, 1.54184 Å.

Top 10 peaks for 10 to 90 degrees two-theta, by angle:
- 3.088 Å, 2θ 28.92, I = 25
- 2.942 Å, 2θ 30.38, I = 100
- 2.811 Å, 2θ 31.84, I = 29
- 2.626 Å, 2θ 34.14, I = 40
- 2.554 Å, 2θ 35.13, I = 75
- 2.517 Å, 2θ 35.67, I = 49
- 2.510 Å, 2θ 35.77, I = 25
- 2.461 Å, 2θ 36.51, I = 32
- 1.895 Å, 2θ 48.00, I = 33
- 1.514 Å, 2θ 61.21, I = 19

Structural model:
abc: 3.791 7.944 8.728
angles: 78.44 78.32 76.68
Fractional positions:
Zn1 0.000 0.000 0.000
Zn2 0.481 0.194 0.831
In1 0.641 0.371 0.350
In2 0.840 0.822 0.481
Hg1 0.085 0.660 0.177
Hg2 0.129 0.121 0.600
Hg3 0.353 0.072 0.232
Hg4 0.395 0.533 0.654
Hg5 0.678 0.793 0.853
Hg6 0.803 0.401 0.979

Record 2
Diffraction record for ZnIn3Hg7. The PXRD pattern is calculated, not measured: it uses a structure optimized by DFT (GGA-PBE) and Cu Kα, 1.54184 Å.

Top 10 peaks for 10 to 90 degrees two-theta, by angle:
- 3.642 Å, 2θ 24.44, I = 24
- 2.998 Å, 2θ 29.80, I = 42
- 2.858 Å, 2θ 31.30, I = 85
- 2.836 Å, 2θ 31.54, I = 46
- 2.761 Å, 2θ 32.43, I = 100
- 2.751 Å, 2θ 32.55, I = 36
- 2.657 Å, 2θ 33.73, I = 36
- 2.632 Å, 2θ 34.06, I = 65
- 2.304 Å, 2θ 39.09, I = 64
- 2.281 Å, 2θ 39.52, I = 36

Structural model:
abc: 9.268 9.268 7.284
angles: 90.00 90.00 113.97
Fractional positions:
Zn1 0.053 0.053 0.000
Zn2 0.947 0.947 0.500
In1 0.004 0.481 0.044
In2 0.443 0.443 0.500
In3 0.481 0.004 0.956
In4 0.519 0.996 0.456
In5 0.557 0.557 0.000
In6 0.996 0.519 0.544
Hg1 0.049 0.251 0.347
Hg2 0.148 0.852 0.250
Hg3 0.215 0.350 0.826
Hg4 0.251 0.049 0.653
Hg5 0.296 0.704 0.750
Hg6 0.343 0.657 0.250
Hg7 0.350 0.215 0.174
Hg8 0.650 0.785 0.674
Hg9 0.657 0.343 0.750
Hg10 0.704 0.296 0.250
Hg11 0.749 0.951 0.153
Hg12 0.785 0.650 0.326
Hg13 0.852 0.148 0.750
Hg14 0.951 0.749 0.847